# 1
Theoretical X-ray powder pattern
Compound: Pm5Cu4Ni
Radiation: Cu Kα
Structure: a PBE-relaxed structure
Lines closer than 0.1° are merged.

The 10 most intense peaks (2θ = 10–80°), most intense first:
2θ/deg	intensity
35.7	100.0
36.0	49.6
64.5	34.5
51.8	17.2
64.0	17.2
25.2	16.3
75.7	10.4
51.1	8.7
24.9	8.2
44.2	7.3

Atomic structure:
```
data_Pm5Cu4Ni
_space_group_name_H-M_alt 'P 1'
_space_group_IT_number 1
_cell_length_a 3.531
_cell_length_b 3.531
_cell_length_c 17.889
_cell_angle_alpha 90.00
_cell_angle_beta 90.00
_cell_angle_gamma 90.00
loop_
_space_group_symop_operation_xyz
'x,y,z'
loop_
_atom_site_label
_atom_site_type_symbol
_atom_site_fract_x
_atom_site_fract_y
_atom_site_fract_z
Pm1 Pm 0.000 0.000 0.000
Pm2 Pm 0.000 0.000 0.202
Pm3 Pm 0.000 0.000 0.405
Pm4 Pm 0.000 0.000 0.595
Pm5 Pm 0.000 0.000 0.798
Cu1 Cu 0.500 0.500 0.101
Cu2 Cu 0.500 0.500 0.302
Cu3 Cu 0.500 0.500 0.698
Cu4 Cu 0.500 0.500 0.899
Ni1 Ni 0.500 0.500 0.500
```

=====

# 2
Theoretical X-ray powder pattern
Compound: U3P2S
Radiation: Cu Kα
Structure: a PBE-relaxed structure
Lines closer than 0.1° are merged.

The 10 most intense peaks (2θ = 10–80°), most intense first:
2θ/deg	intensity
32.4	100.0
27.9	82.1
46.2	37.5
46.7	36.4
55.1	27.0
28.2	26.5
57.6	19.8
76.9	17.9
77.6	17.5
54.9	13.7

Atomic structure:
```
data_U3P2S
_space_group_name_H-M_alt 'P 1'
_space_group_IT_number 1
_cell_length_a 3.926
_cell_length_b 3.926
_cell_length_c 9.479
_cell_angle_alpha 90.00
_cell_angle_beta 90.00
_cell_angle_gamma 120.00
loop_
_space_group_symop_operation_xyz
'x,y,z'
loop_
_atom_site_label
_atom_site_type_symbol
_atom_site_fract_x
_atom_site_fract_y
_atom_site_fract_z
U1 U 0.000 0.000 0.000
U2 U 0.333 0.667 0.665
U3 U 0.667 0.333 0.335
P1 P 0.333 0.667 0.169
P2 P 0.667 0.333 0.831
S1 S 0.000 0.000 0.500
```

=====

# 3
Theoretical X-ray powder pattern
Compound: Zn4Ga2Ag
Radiation: Cu Kα
Structure: a PBE-relaxed structure
Lines closer than 0.1° are merged.

The 10 most intense peaks (2θ = 10–80°), most intense first:
2θ/deg	intensity
42.9	100.0
43.7	87.7
40.6	64.5
37.2	56.4
41.1	52.2
37.4	48.8
42.7	45.6
31.7	42.2
36.5	40.8
34.2	40.5

Atomic structure:
```
data_Zn4Ga2Ag
_space_group_name_H-M_alt 'P 1'
_space_group_IT_number 1
_cell_length_a 5.257
_cell_length_b 7.022
_cell_length_c 7.874
_cell_angle_alpha 116.38
_cell_angle_beta 106.88
_cell_angle_gamma 90.57
loop_
_space_group_symop_operation_xyz
'x,y,z'
loop_
_atom_site_label
_atom_site_type_symbol
_atom_site_fract_x
_atom_site_fract_y
_atom_site_fract_z
Zn1 Zn 0.000 0.000 0.000
Zn2 Zn 0.005 0.282 0.358
Zn3 Zn 0.123 0.903 0.643
Zn4 Zn 0.441 0.821 0.939
Zn5 Zn 0.606 0.884 0.639
Zn6 Zn 0.737 0.585 0.334
Zn7 Zn 0.816 0.622 0.032
Zn8 Zn 0.955 0.264 0.798
Ga1 Ga 0.216 0.470 0.205
Ga2 Ga 0.224 0.922 0.331
Ga3 Ga 0.412 0.372 0.684
Ga4 Ga 0.717 0.988 0.354
Ag1 Ag 0.529 0.224 0.976
Ag2 Ag 0.913 0.580 0.694
```

=====

# 4
Theoretical X-ray powder pattern
Compound: La8Tb5Mg
Radiation: Cu Kα
Structure: a PBE-relaxed structure
Lines closer than 0.1° are merged.

The 10 most intense peaks (2θ = 10–80°), most intense first:
2θ/deg	intensity
28.4	100.0
33.1	75.9
33.8	35.8
27.6	35.3
33.5	27.2
53.4	23.9
30.9	20.0
61.9	17.0
58.9	12.9
46.7	12.6

Atomic structure:
```
data_La8Tb5Mg
_space_group_name_H-M_alt 'P 1'
_space_group_IT_number 1
_cell_length_a 8.681
_cell_length_b 8.681
_cell_length_c 8.681
_cell_angle_alpha 110.36
_cell_angle_beta 110.36
_cell_angle_gamma 107.71
loop_
_space_group_symop_operation_xyz
'x,y,z'
loop_
_atom_site_label
_atom_site_type_symbol
_atom_site_fract_x
_atom_site_fract_y
_atom_site_fract_z
La1 La 0.083 0.352 0.599
La2 La 0.166 0.440 0.098
La3 La 0.342 0.068 0.902
La4 La 0.516 0.917 0.269
La5 La 0.560 0.658 0.726
La6 La 0.648 0.247 0.731
La7 La 0.753 0.484 0.401
La8 La 0.932 0.834 0.274
Tb1 Tb 0.022 0.722 0.898
Tb2 Tb 0.278 0.176 0.300
Tb3 Tb 0.500 0.500 0.000
Tb4 Tb 0.824 0.124 0.102
Tb5 Tb 0.876 0.978 0.700
Mg1 Mg 0.250 0.750 0.500
```

=====

# 5
Theoretical X-ray powder pattern
Compound: Nd4Cu5As7
Radiation: Cu Kα
Structure: a PBE-relaxed structure
Lines closer than 0.1° are merged.

The 10 most intense peaks (2θ = 10–80°), most intense first:
2θ/deg	intensity
36.6	100.0
45.8	35.6
34.8	30.5
78.7	20.3
24.1	19.2
50.4	18.7
28.5	15.9
35.2	14.4
70.4	13.5
58.8	13.3

Atomic structure:
```
data_Nd4Cu5As7
_space_group_name_H-M_alt 'P 1'
_space_group_IT_number 1
_cell_length_a 10.930
_cell_length_b 10.930
_cell_length_c 10.930
_cell_angle_alpha 150.31
_cell_angle_beta 150.31
_cell_angle_gamma 42.49
loop_
_space_group_symop_operation_xyz
'x,y,z'
loop_
_atom_site_label
_atom_site_type_symbol
_atom_site_fract_x
_atom_site_fract_y
_atom_site_fract_z
Nd1 Nd 0.135 0.135 0.511
Nd2 Nd 0.376 0.865 0.000
Nd3 Nd 0.624 0.624 0.489
Nd4 Nd 0.865 0.376 0.000
Cu1 Cu 0.000 0.000 0.000
Cu2 Cu 0.250 0.750 0.500
Cu3 Cu 0.251 0.251 0.000
Cu4 Cu 0.749 0.749 0.000
Cu5 Cu 0.750 0.250 0.500
As1 As 0.000 0.500 0.500
As2 As 0.072 0.580 0.000
As3 As 0.420 0.420 0.492
As4 As 0.500 0.000 0.500
As5 As 0.500 0.500 0.000
As6 As 0.580 0.072 0.000
As7 As 0.928 0.928 0.508
```

=====

# 6
Theoretical X-ray powder pattern
Compound: K2MgHg
Radiation: Cu Kα
Structure: a PBE-relaxed structure
Lines closer than 0.1° are merged.

The 10 most intense peaks (2θ = 10–80°), most intense first:
2θ/deg	intensity
29.5	100.0
16.0	74.0
14.7	47.3
28.6	30.8
22.2	26.3
25.4	25.9
26.4	23.2
30.7	22.1
52.6	21.6
51.2	20.8

Atomic structure:
```
data_K2MgHg
_space_group_name_H-M_alt 'P 1'
_space_group_IT_number 1
_cell_length_a 4.249
_cell_length_b 6.242
_cell_length_c 12.021
_cell_angle_alpha 90.00
_cell_angle_beta 90.00
_cell_angle_gamma 90.00
loop_
_space_group_symop_operation_xyz
'x,y,z'
loop_
_atom_site_label
_atom_site_type_symbol
_atom_site_fract_x
_atom_site_fract_y
_atom_site_fract_z
K1 K 0.000 0.000 0.000
K2 K 0.000 0.500 0.198
K3 K 0.500 0.000 0.698
K4 K 0.500 0.500 0.500
Mg1 Mg 0.000 0.500 0.788
Mg2 Mg 0.500 0.000 0.288
Hg1 Hg 0.000 0.000 0.447
Hg2 Hg 0.500 0.500 0.947
```

=====

# 7
Theoretical X-ray powder pattern
Compound: Rb6ZnO4
Radiation: Cu Kα
Structure: a PBE-relaxed structure
Lines closer than 0.1° are merged.

The 10 most intense peaks (2θ = 10–80°), most intense first:
2θ/deg	intensity
32.8	100.0
34.4	56.1
26.1	49.9
39.8	42.0
28.0	32.8
36.7	24.2
57.7	21.9
60.5	21.0
52.7	18.3
11.3	16.8

Atomic structure:
```
data_Rb6ZnO4
_space_group_name_H-M_alt 'P 1'
_space_group_IT_number 1
_cell_length_a 9.059
_cell_length_b 9.059
_cell_length_c 6.962
_cell_angle_alpha 90.00
_cell_angle_beta 90.00
_cell_angle_gamma 120.00
loop_
_space_group_symop_operation_xyz
'x,y,z'
loop_
_atom_site_label
_atom_site_type_symbol
_atom_site_fract_x
_atom_site_fract_y
_atom_site_fract_z
Rb1 Rb 0.075 0.537 0.000
Rb2 Rb 0.145 0.291 0.663
Rb3 Rb 0.145 0.855 0.663
Rb4 Rb 0.291 0.145 0.163
Rb5 Rb 0.463 0.537 0.000
Rb6 Rb 0.463 0.925 0.000
Rb7 Rb 0.537 0.075 0.500
Rb8 Rb 0.537 0.463 0.500
Rb9 Rb 0.709 0.855 0.663
Rb10 Rb 0.855 0.145 0.163
Rb11 Rb 0.855 0.709 0.163
Rb12 Rb 0.925 0.463 0.500
Zn1 Zn 0.333 0.667 0.392
Zn2 Zn 0.667 0.333 0.892
O1 O 0.206 0.411 0.293
O2 O 0.206 0.794 0.293
O3 O 0.333 0.667 0.687
O4 O 0.411 0.206 0.793
O5 O 0.589 0.794 0.293
O6 O 0.667 0.333 0.187
O7 O 0.794 0.206 0.793
O8 O 0.794 0.589 0.793
```

=====

# 8
Theoretical X-ray powder pattern
Compound: LaMnTl2Cl8
Radiation: Cu Kα
Structure: a PBE-relaxed structure
Lines closer than 0.1° are merged.

The 10 most intense peaks (2θ = 10–80°), most intense first:
2θ/deg	intensity
17.6	100.0
18.6	74.4
25.1	62.2
35.7	38.8
25.4	35.7
28.7	31.0
36.2	29.4
25.5	25.4
37.7	21.1
36.7	20.6

Atomic structure:
```
data_LaMnTl2Cl8
_space_group_name_H-M_alt 'P 1'
_space_group_IT_number 1
_cell_length_a 6.880
_cell_length_b 6.994
_cell_length_c 8.211
_cell_angle_alpha 89.52
_cell_angle_beta 89.35
_cell_angle_gamma 86.98
loop_
_space_group_symop_operation_xyz
'x,y,z'
loop_
_atom_site_label
_atom_site_type_symbol
_atom_site_fract_x
_atom_site_fract_y
_atom_site_fract_z
La1 La 0.000 0.000 0.000
Mn1 Mn 0.000 0.000 0.500
Tl1 Tl 0.483 0.488 0.731
Tl2 Tl 0.517 0.512 0.269
Cl1 Cl 0.169 0.717 0.496
Cl2 Cl 0.201 0.116 0.290
Cl3 Cl 0.234 0.126 0.745
Cl4 Cl 0.234 0.665 0.006
Cl5 Cl 0.766 0.335 0.994
Cl6 Cl 0.766 0.874 0.255
Cl7 Cl 0.799 0.884 0.710
Cl8 Cl 0.831 0.283 0.504
```

=====

# 9
Theoretical X-ray powder pattern
Compound: SmAl3Hg3
Radiation: Cu Kα
Structure: a PBE-relaxed structure
Lines closer than 0.1° are merged.

The 10 most intense peaks (2θ = 10–80°), most intense first:
2θ/deg	intensity
27.5	100.0
30.2	95.1
46.8	57.1
24.5	39.9
50.3	28.3
45.0	27.5
58.3	26.0
43.2	24.2
69.8	23.1
73.9	18.4

Atomic structure:
```
data_SmAl3Hg3
_space_group_name_H-M_alt 'P 1'
_space_group_IT_number 1
_cell_length_a 7.256
_cell_length_b 7.256
_cell_length_c 7.256
_cell_angle_alpha 90.00
_cell_angle_beta 90.00
_cell_angle_gamma 90.00
loop_
_space_group_symop_operation_xyz
'x,y,z'
loop_
_atom_site_label
_atom_site_type_symbol
_atom_site_fract_x
_atom_site_fract_y
_atom_site_fract_z
Sm1 Sm 0.000 0.000 0.000
Sm2 Sm 0.500 0.500 0.500
Al1 Al 0.000 0.250 0.500
Al2 Al 0.000 0.750 0.500
Al3 Al 0.250 0.500 0.000
Al4 Al 0.500 0.000 0.250
Al5 Al 0.500 0.000 0.750
Al6 Al 0.750 0.500 0.000
Hg1 Hg 0.000 0.500 0.250
Hg2 Hg 0.000 0.500 0.750
Hg3 Hg 0.250 0.000 0.500
Hg4 Hg 0.500 0.250 0.000
Hg5 Hg 0.500 0.750 0.000
Hg6 Hg 0.750 0.000 0.500
```

=====

# 10
Theoretical X-ray powder pattern
Compound: Rb2Ag3I5
Radiation: Cu Kα
Structure: a PBE-relaxed structure
Lines closer than 0.1° are merged.

The 10 most intense peaks (2θ = 10–80°), most intense first:
2θ/deg	intensity
28.5	100.0
23.1	63.2
30.2	55.1
17.6	48.3
27.9	47.5
40.4	35.4
33.7	31.6
43.9	30.3
42.0	30.1
25.6	29.1

Atomic structure:
```
data_Rb2Ag3I5
_space_group_name_H-M_alt 'P 1'
_space_group_IT_number 1
_cell_length_a 11.625
_cell_length_b 11.625
_cell_length_c 11.625
_cell_angle_alpha 128.61
_cell_angle_beta 68.15
_cell_angle_gamma 138.43
loop_
_space_group_symop_operation_xyz
'x,y,z'
loop_
_atom_site_label
_atom_site_type_symbol
_atom_site_fract_x
_atom_site_fract_y
_atom_site_fract_z
Rb1 Rb 0.161 0.207 0.368
Rb2 Rb 0.339 0.707 0.046
Rb3 Rb 0.661 0.293 0.954
Rb4 Rb 0.839 0.793 0.632
Ag1 Ag 0.106 0.580 0.686
Ag2 Ag 0.250 0.250 0.000
Ag3 Ag 0.394 0.080 0.474
Ag4 Ag 0.606 0.920 0.526
Ag5 Ag 0.750 0.750 0.000
Ag6 Ag 0.894 0.420 0.314
I1 I 0.038 0.750 0.288
I2 I 0.081 0.868 0.948
I3 I 0.250 0.750 0.500
I4 I 0.419 0.368 0.787
I5 I 0.462 0.750 0.712
I6 I 0.538 0.250 0.288
I7 I 0.581 0.632 0.213
I8 I 0.750 0.250 0.500
I9 I 0.919 0.132 0.052
I10 I 0.962 0.250 0.712
```

=====

# 11
Theoretical X-ray powder pattern
Compound: Ho4Er10Pu
Radiation: Cu Kα
Structure: a PBE-relaxed structure
Lines closer than 0.1° are merged.

The 10 most intense peaks (2θ = 10–80°), most intense first:
2θ/deg	intensity
29.4	100.0
34.2	94.1
27.5	87.9
29.2	82.2
33.3	80.8
34.7	45.9
42.0	34.7
42.9	34.3
45.7	32.4
39.6	27.7

Atomic structure:
```
data_Ho4Er10Pu
_space_group_name_H-M_alt 'P 1'
_space_group_IT_number 1
_cell_length_a 8.542
_cell_length_b 8.542
_cell_length_c 8.542
_cell_angle_alpha 111.45
_cell_angle_beta 111.45
_cell_angle_gamma 105.59
loop_
_space_group_symop_operation_xyz
'x,y,z'
loop_
_atom_site_label
_atom_site_type_symbol
_atom_site_fract_x
_atom_site_fract_y
_atom_site_fract_z
Ho1 Ho 0.068 0.671 0.739
Ho2 Ho 0.329 0.068 0.397
Ho3 Ho 0.671 0.932 0.603
Ho4 Ho 0.932 0.329 0.261
Er1 Er 0.127 0.227 0.674
Er2 Er 0.227 0.552 0.100
Er3 Er 0.250 0.750 0.500
Er4 Er 0.448 0.547 0.674
Er5 Er 0.453 0.127 0.900
Er6 Er 0.547 0.873 0.100
Er7 Er 0.552 0.453 0.326
Er8 Er 0.750 0.250 0.500
Er9 Er 0.773 0.448 0.900
Er10 Er 0.873 0.773 0.326
Pu1 Pu 0.000 0.000 0.000
```

=====

# 12
Theoretical X-ray powder pattern
Compound: Sm2ErThSb4
Radiation: Cu Kα
Structure: a PBE-relaxed structure
Lines closer than 0.1° are merged.

The 10 most intense peaks (2θ = 10–80°), most intense first:
2θ/deg	intensity
28.3	100.0
40.5	51.3
40.6	25.4
50.1	20.7
66.3	17.8
66.4	17.6
73.6	15.3
58.6	12.9
50.3	6.8
73.9	6.5

Atomic structure:
```
data_Sm2ErThSb4
_space_group_name_H-M_alt 'P 1'
_space_group_IT_number 1
_cell_length_a 7.697
_cell_length_b 4.460
_cell_length_c 7.721
_cell_angle_alpha 90.00
_cell_angle_beta 109.48
_cell_angle_gamma 90.00
loop_
_space_group_symop_operation_xyz
'x,y,z'
loop_
_atom_site_label
_atom_site_type_symbol
_atom_site_fract_x
_atom_site_fract_y
_atom_site_fract_z
Sm1 Sm 0.000 0.000 0.000
Sm2 Sm 0.500 0.500 0.000
Er1 Er 0.000 0.500 0.500
Th1 Th 0.500 0.000 0.500
Sb1 Sb 0.244 0.000 0.745
Sb2 Sb 0.245 0.500 0.251
Sb3 Sb 0.755 0.500 0.749
Sb4 Sb 0.756 0.000 0.255
```

=====

# 13
Theoretical X-ray powder pattern
Compound: K2InSn2Cl7
Radiation: Cu Kα
Structure: a PBE-relaxed structure
Lines closer than 0.1° are merged.

The 10 most intense peaks (2θ = 10–80°), most intense first:
2θ/deg	intensity
14.6	100.0
18.8	91.1
31.5	87.8
22.7	75.3
21.1	70.2
33.0	63.5
35.6	58.5
46.4	54.2
28.6	51.3
17.7	49.5

Atomic structure:
```
data_K2InSn2Cl7
_space_group_name_H-M_alt 'P 1'
_space_group_IT_number 1
_cell_length_a 13.313
_cell_length_b 13.313
_cell_length_c 13.313
_cell_angle_alpha 155.36
_cell_angle_beta 36.94
_cell_angle_gamma 152.91
loop_
_space_group_symop_operation_xyz
'x,y,z'
loop_
_atom_site_label
_atom_site_type_symbol
_atom_site_fract_x
_atom_site_fract_y
_atom_site_fract_z
K1 K 0.225 0.000 0.225
K2 K 0.775 0.000 0.775
In1 In 0.828 0.328 0.500
Sn1 Sn 0.402 0.512 0.891
Sn2 Sn 0.621 0.512 0.109
Cl1 Cl 0.002 0.105 0.896
Cl2 Cl 0.209 0.105 0.104
Cl3 Cl 0.272 0.497 0.774
Cl4 Cl 0.449 0.052 0.397
Cl5 Cl 0.586 0.586 0.000
Cl6 Cl 0.655 0.052 0.603
Cl7 Cl 0.723 0.497 0.226
```